1.
Calculated powder diffraction line list
Compound: InFeAs
Radiation: copper Kα
Structure: a DFT-relaxed cell (GGA-PBE, Alexandria)
Peak positions follow from Bragg's law for the DFT cell and can differ from measured ones.

Crystal structure
```
data_InFeAs
_chemical_formula_sum 'In2 Fe2 As2'
_symmetry_space_group_name_H-M 'P m n 21'
_symmetry_Int_Tables_number 31
_cell_length_a 3.1175
_cell_length_b 5.9198
_cell_length_c 6.3030
_cell_angle_alpha 90.00
_cell_angle_beta 90.00
_cell_angle_gamma 90.00
loop_
_symmetry_equiv_pos_as_xyz
'x,y,z'
'-x+1/2,-y,z+1/2'
'-x,y,z'
'x+1/2,-y,z+1/2'
loop_
_atom_site_label
_atom_site_type_symbol
_atom_site_fract_x
_atom_site_fract_y
_atom_site_fract_z
_atom_site_occupancy
In1 In 0.0000 0.0291 0.0000 1
Fe1 Fe 0.0000 0.6964 0.2727 1
As1 As 0.0000 0.4654 0.5609 1
```

The 6 most intense peaks (2θ from 5° to 70°), by angle:
20.6°, 4.315 Å, intensity 23.4, (0 1 1)
30.2°, 2.960 Å, intensity 19.3, (0 2 0)
35.5°, 2.527 Å, intensity 100.0, (1 1 1)
41.9°, 2.158 Å, intensity 40.2, (0 2 2)
54.9°, 1.671 Å, intensity 22.0, (1 1 3)
57.1°, 1.612 Å, intensity 19.0, (1 3 1)



2.
Calculated powder diffraction line list
Compound: Fe2As2Ir
Radiation: copper Kα
Structure: a DFT-relaxed cell (GGA-PBE, Alexandria)
Peak positions follow from Bragg's law for the DFT cell and can differ from measured ones.

Crystal structure
```
data_Fe2As2Ir
_chemical_formula_sum 'Fe4 As4 Ir2'
_symmetry_space_group_name_H-M 'P 4/m b m'
_symmetry_Int_Tables_number 127
_symmetry_space_group_name_Hall '-P 4 2ab'
_cell_length_a 6.8157
_cell_length_b 6.8157
_cell_length_c 2.9190
_cell_angle_alpha 90.00
_cell_angle_beta 90.00
_cell_angle_gamma 90.00
loop_
_atom_site_label
_atom_site_type_symbol
_atom_site_fract_x
_atom_site_fract_y
_atom_site_fract_z
_atom_site_occupancy
Fe1 Fe 0.1393 0.3607 0.0000 1
As1 As 0.1576 0.6576 0.5000 1
Ir1 Ir 0.0000 0.0000 0.5000 1
```

The 6 most intense peaks (2θ from 5° to 70°), by angle:
18.4°, 4.819 Å, intensity 28.7, (1 1 0)
36.0°, 2.497 Å, intensity 48.8, (1 1 1)
37.3°, 2.410 Å, intensity 28.6, (2 2 0)
41.9°, 2.155 Å, intensity 100.0, (3 1 0)
42.9°, 2.108 Å, intensity 69.8, (2 1 1)
52.8°, 1.734 Å, intensity 39.4, (3 1 1)



What did the first record say?
Calculated powder diffraction line list
Compound: InFeAs
Radiation: copper Kα
Structure: a DFT-relaxed cell (GGA-PBE, Alexandria)
Peak positions follow from Bragg's law for the DFT cell and can differ from measured ones.

Crystal structure
```
data_InFeAs
_chemical_formula_sum 'In2 Fe2 As2'
_symmetry_space_group_name_H-M 'P m n 21'
_symmetry_Int_Tables_number 31
_cell_length_a 3.1175
_cell_length_b 5.9198
_cell_length_c 6.3030
_cell_angle_alpha 90.00
_cell_angle_beta 90.00
_cell_angle_gamma 90.00
loop_
_symmetry_equiv_pos_as_xyz
'x,y,z'
'-x+1/2,-y,z+1/2'
'-x,y,z'
'x+1/2,-y,z+1/2'
loop_
_atom_site_label
_atom_site_type_symbol
_atom_site_fract_x
_atom_site_fract_y
_atom_site_fract_z
_atom_site_occupancy
In1 In 0.0000 0.0291 0.0000 1
Fe1 Fe 0.0000 0.6964 0.2727 1
As1 As 0.0000 0.4654 0.5609 1
```

The 6 most intense peaks (2θ from 5° to 70°), by angle:
20.6°, 4.315 Å, intensity 23.4, (0 1 1)
30.2°, 2.960 Å, intensity 19.3, (0 2 0)
35.5°, 2.527 Å, intensity 100.0, (1 1 1)
41.9°, 2.158 Å, intensity 40.2, (0 2 2)
54.9°, 1.671 Å, intensity 22.0, (1 1 3)
57.1°, 1.612 Å, intensity 19.0, (1 3 1)